Diffraction record for Mg4Cd4Hg3. The X-ray powder pattern is computed, not measured: it uses a DFT-relaxed cell (PBE, Alexandria) and λ = 1.5418 Å (Cu Kα).
Lines closer than 0.1° are merged.

Top 10 peaks for 15 to 90 degrees two-theta, low angle first:
2θ (°), d (Å), I_rel, hkl
20.98, 4.234, 62, 0 0 4
24.46, 3.639, 42, 0 1 1
24.63, 3.615, 42, 0 1 -2
25.14, 3.543, 79, 1 0 1
33.47, 2.677, 100, 1 -1 0
33.59, 2.668, 99, 1 1 -1
37.27, 2.413, 75, 0 1 5
37.68, 2.387, 72, 0 1 -6
37.79, 2.381, 72, 1 0 5
37.97, 2.369, 71, 1 0 -6

Crystal structure
abc: 3.7313 3.8305 17.1175
angles: 95.78 95.97 90.18
Atoms (fractional coordinates):
Mg: 0.0464 0.0432 0.0902
Mg: 0.3199 0.3193 0.6392
Mg: 0.6801 0.6807 0.3608
Mg: 0.9536 0.9568 0.9098
Cd: 0.2278 0.2286 0.4565
Cd: 0.4094 0.4109 0.8181
Cd: 0.5906 0.5891 0.1819
Cd: 0.7722 0.7714 0.5435
Hg: 0.1372 0.1356 0.2740
Hg: 0.5000 0.5000 0.0000
Hg: 0.8628 0.8644 0.7260